This entry pairs a crystal structure of Er3VO7 with its computed powder diffractogram. Radiation: Cu Kα (λ = 1.5418 Å). Structure: a crystal structure in Alexandria, relaxed with PBE+U.

Lattice parameters (Å, degrees): 6.3591 6.3591 7.2571 90.00 90.00 108.04
Element x y z (fractional)
Er: 0.0407 0.4977 0.2615
Er: 0.0494 0.0494 0.0000
Er: 0.4977 0.0407 0.7385
Er: 0.5023 0.9593 0.2385
Er: 0.9506 0.9506 0.5000
Er: 0.9593 0.5023 0.7615
V: 0.4934 0.4934 0.5000
V: 0.5066 0.5066 0.0000
O: 0.1292 0.8708 0.7500
O: 0.1403 0.8597 0.2500
O: 0.1770 0.4237 0.9779
O: 0.2065 0.4589 0.5473
O: 0.4237 0.1770 0.0221
O: 0.4382 0.5618 0.2500
O: 0.4589 0.2065 0.4527
O: 0.5411 0.7935 0.9527
O: 0.5618 0.4382 0.7500
O: 0.5763 0.8230 0.5221
O: 0.7935 0.5411 0.0473
O: 0.8230 0.5763 0.4779
O: 0.8597 0.1403 0.7500
O: 0.8708 0.1292 0.2500

The 10 most intense peaks (2θ from 15° to 90°), by angle:
28.7 deg, rel. 123
29.5 deg, rel. 970
30.1 deg, rel. 1000
34.5 deg, rel. 434
34.9 deg, rel. 199
49.8 deg, rel. 486
50.3 deg, rel. 164
58.4 deg, rel. 158
59.4 deg, rel. 252
59.6 deg, rel. 172

This entry pairs a crystal structure of YEr3V4O16 with its computed powder diffractogram. Radiation: Cu Kα (λ = 1.5418 Å). Structure: a crystal structure in Alexandria, relaxed with PBE+U.

Lattice parameters (Å, degrees): 5.9772 5.9772 10.1455 90.00 90.00 116.06
Element x y z (fractional)
Y: 0.0000 0.0000 0.0000
Er: 0.0000 0.5000 0.2509
Er: 0.5000 0.0000 0.7491
Er: 0.5000 0.5000 0.5000
V: 0.0000 0.0000 0.5000
V: 0.0000 0.5000 0.7481
V: 0.5000 0.0000 0.2519
V: 0.5000 0.5000 0.0000
O: 0.0838 0.2696 0.4072
O: 0.0857 0.7695 0.8409
O: 0.2305 0.9143 0.1591
O: 0.2314 0.4180 0.0933
O: 0.2696 0.0838 0.5928
O: 0.2701 0.5836 0.6558
O: 0.4164 0.7299 0.3442
O: 0.4180 0.2314 0.9067
O: 0.5820 0.7686 0.9067
O: 0.5836 0.2701 0.3442
O: 0.7299 0.4164 0.6558
O: 0.7304 0.9162 0.5928
O: 0.7686 0.5820 0.0933
O: 0.7695 0.0857 0.1591
O: 0.9143 0.2305 0.8409
O: 0.9162 0.7304 0.4072

The 10 most intense peaks (2θ from 15° to 90°), by angle:
18.7 deg, rel. 388
24.8 deg, rel. 1000
33.4 deg, rel. 698
35.4 deg, rel. 207
40.3 deg, rel. 148
49.4 deg, rel. 589
50.9 deg, rel. 160
57.5 deg, rel. 137
62.3 deg, rel. 174
70.1 deg, rel. 130